(1)
# PmSm3DySc
Theoretical powder XRD pattern, Cu Kα (λ = 1.5418 Å). Input: a cell relaxed with GGA-PBE.
Lines closer than 0.1° are merged.

Peak list (10 most intense, 10 to 80 degrees two-theta, in order of falling intensity)
2θ/deg  I_rel
30.80  100
51.46  24
35.68  18
35.89  17
35.56  17
60.93  14
61.07  14
61.37  14
64.16  12
51.26  12

Crystal structure
a = 7.954 Å, b = 7.954 Å, c = 10.098 Å
α = 90.00°, β = 90.00°, γ = 143.34°
Sites, in units of the cell vectors:
Pm1 0.004 0.996 0.750
Pm2 0.996 0.004 0.250
Sm1 0.167 0.833 0.501
Sm2 0.167 0.833 0.999
Sm3 0.331 0.669 0.750
Sm4 0.669 0.331 0.250
Sm5 0.833 0.167 0.001
Sm6 0.833 0.167 0.499
Dy1 0.500 0.500 0.000
Dy2 0.500 0.500 0.500
Sc1 0.333 0.667 0.250
Sc2 0.667 0.333 0.750



(2)
# PmSm2Dy5Sc
Theoretical powder XRD pattern, Cu Kα (λ = 1.5418 Å). Input: a cell relaxed with GGA-PBE.
Lines closer than 0.1° are merged.

Peak list (10 most intense, 10 to 80 degrees two-theta, in order of falling intensity)
2θ/deg  I_rel
32.63  100
32.05  50
30.62  40
27.02  24
57.48  20
28.41  18
62.29  16
51.87  14
34.39  12
60.29  12

Crystal structure
a = 10.272 Å, b = 10.272 Å, c = 10.432 Å
α = 90.00°, β = 90.00°, γ = 148.44°
Sites, in units of the cell vectors:
Pm1 0.088 0.912 0.500
Pm2 0.912 0.088 0.000
Sm1 0.386 0.614 0.778
Sm2 0.388 0.612 0.358
Sm3 0.612 0.388 0.858
Sm4 0.614 0.386 0.278
Dy1 0.018 0.982 0.783
Dy2 0.125 0.875 0.063
Dy3 0.202 0.798 0.747
Dy4 0.223 0.777 0.366
Dy5 0.482 0.518 0.062
Dy6 0.518 0.482 0.562
Dy7 0.777 0.223 0.866
Dy8 0.798 0.202 0.247
Dy9 0.875 0.125 0.563
Dy10 0.982 0.018 0.283
Sc1 0.304 0.696 0.058
Sc2 0.696 0.304 0.558



(3)
# TbPmDy3Sc
Theoretical powder XRD pattern, Cu Kα (λ = 1.5418 Å). Input: a cell relaxed with GGA-PBE.
Lines closer than 0.1° are merged.

Peak list (10 most intense, 10 to 80 degrees two-theta, in order of falling intensity)
2θ/deg  I_rel
31.14  100
36.11  50
52.00  36
61.90  28
61.79  14
64.94  12
20.84  4
76.68  4
14.84  3
17.80  2

Crystal structure
a = 7.860 Å, b = 7.860 Å, c = 9.963 Å
α = 90.00°, β = 90.00°, γ = 143.13°
Sites, in units of the cell vectors:
Tb1 0.000 0.000 0.000
Tb2 0.000 0.000 0.500
Pm1 0.498 0.502 0.750
Pm2 0.502 0.498 0.250
Dy1 0.170 0.830 0.750
Dy2 0.332 0.668 0.000
Dy3 0.332 0.668 0.500
Dy4 0.668 0.332 0.000
Dy5 0.668 0.332 0.500
Dy6 0.830 0.170 0.250
Sc1 0.168 0.832 0.250
Sc2 0.832 0.168 0.750



(4)
# Tb2PmDy2Sc
Theoretical powder XRD pattern, Cu Kα (λ = 1.5418 Å). Input: a cell relaxed with GGA-PBE.
Lines closer than 0.1° are merged.

Peak list (10 most intense, 10 to 80 degrees two-theta, in order of falling intensity)
2θ/deg  I_rel
32.19  100
31.92  96
57.22  36
45.97  35
63.49  28
57.39  19
76.47  16
67.35  12
53.13  8
41.73  6

Crystal structure
a = 6.896 Å, b = 5.563 Å, c = 9.630 Å
α = 90.00°, β = 90.00°, γ = 90.00°
Sites, in units of the cell vectors:
Tb1 0.250 0.000 0.166
Tb2 0.250 0.500 0.669
Tb3 0.750 0.000 0.834
Tb4 0.750 0.500 0.331
Pm1 0.000 0.500 0.000
Pm2 0.500 0.500 0.000
Dy1 0.000 0.000 0.500
Dy2 0.250 0.500 0.336
Dy3 0.500 0.000 0.500
Dy4 0.750 0.500 0.664
Sc1 0.250 0.000 0.832
Sc2 0.750 0.000 0.168



(5)
# Pm4Dy2TmSc
Theoretical powder XRD pattern, Cu Kα (λ = 1.5418 Å). Input: a cell relaxed with GGA-PBE.
Lines closer than 0.1° are merged.

Peak list (10 most intense, 10 to 80 degrees two-theta, in order of falling intensity)
2θ/deg  I_rel
30.83  100
35.42  35
60.75  29
51.69  23
36.40  16
62.06  13
50.96  12
64.23  12
74.94  4
19.69  3

Crystal structure
a = 5.069 Å, b = 5.069 Å, c = 9.874 Å
α = 90.00°, β = 90.00°, γ = 90.00°
Sites, in units of the cell vectors:
Pm1 0.000 0.500 0.246
Pm2 0.000 0.500 0.754
Pm3 0.500 0.000 0.246
Pm4 0.500 0.000 0.754
Dy1 0.000 0.000 0.000
Dy2 0.500 0.500 0.500
Tm1 0.000 0.000 0.500
Sc1 0.500 0.500 0.000



(6)
# Pm5Dy2TmSc
Theoretical powder XRD pattern, Cu Kα (λ = 1.5418 Å). Input: a cell relaxed with GGA-PBE.
Lines closer than 0.1° are merged.

Peak list (10 most intense, 10 to 80 degrees two-theta, in order of falling intensity)
2θ/deg  I_rel
31.80  100
33.58  40
27.14  35
60.67  21
58.90  17
35.28  16
32.85  14
49.49  13
47.67  10
31.52  9

Crystal structure
a = 11.226 Å, b = 11.226 Å, c = 10.175 Å
α = 90.00°, β = 90.00°, γ = 152.48°
Sites, in units of the cell vectors:
Pm1 0.000 0.000 0.000
Pm2 0.000 0.000 0.500
Pm3 0.127 0.873 0.750
Pm4 0.221 0.779 0.062
Pm5 0.221 0.779 0.438
Pm6 0.500 0.500 0.250
Pm7 0.500 0.500 0.750
Pm8 0.779 0.221 0.562
Pm9 0.779 0.221 0.938
Pm10 0.873 0.127 0.250
Dy1 0.384 0.616 0.501
Dy2 0.384 0.616 0.999
Dy3 0.616 0.384 0.001
Dy4 0.616 0.384 0.499
Tm1 0.101 0.899 0.250
Tm2 0.899 0.101 0.750
Sc1 0.287 0.713 0.750
Sc2 0.713 0.287 0.250



(7)
# Pm6Dy2TmSc
Theoretical powder XRD pattern, Cu Kα (λ = 1.5418 Å). Input: a cell relaxed with GGA-PBE.
Lines closer than 0.1° are merged.

Peak list (10 most intense, 10 to 80 degrees two-theta, in order of falling intensity)
2θ/deg  I_rel
31.02  100
31.27  80
30.35  71
28.55  61
31.38  48
28.21  38
34.23  37
32.13  33
36.72  25
34.96  23

Crystal structure
a = 8.884 Å, b = 8.884 Å, c = 9.409 Å
α = 93.52°, β = 93.52°, γ = 117.63°
Sites, in units of the cell vectors:
Pm1 0.005 0.439 0.805
Pm2 0.122 0.767 0.552
Pm3 0.233 0.878 0.948
Pm4 0.290 0.511 0.387
Pm5 0.439 0.005 0.305
Pm6 0.489 0.710 0.113
Pm7 0.511 0.290 0.887
Pm8 0.561 0.995 0.695
Pm9 0.710 0.489 0.613
Pm10 0.767 0.122 0.052
Pm11 0.878 0.233 0.448
Pm12 0.995 0.561 0.195
Dy1 0.204 0.302 0.047
Dy2 0.302 0.204 0.547
Dy3 0.698 0.796 0.453
Dy4 0.796 0.698 0.953
Tm1 0.026 0.974 0.250
Tm2 0.974 0.026 0.750
Sc1 0.419 0.581 0.750
Sc2 0.581 0.419 0.250